1.
SrMnSn: simulated X-ray diffraction stick pattern (copper Kα), based on DFT lattice parameters and positions (GGA-PBE).
Peak positions follow from Bragg's law for the DFT cell and can differ from measured ones.

Structure:
```
SrMnSn
1.0
4.7567 0.0000 0.0000
0.0000 4.7567 0.0000
0.0000 0.0000 7.6397
Sr Mn Sn
2 2 2
direct
0.2500 0.2500 0.1799 Sr
0.7500 0.7500 0.8201 Sr
0.2500 0.7500 0.5000 Mn
0.7500 0.2500 0.5000 Mn
0.2500 0.2500 0.6991 Sn
0.7500 0.7500 0.3009 Sn
```

Largest 10 diffraction maxima, sorted by position, 2θ from 5° to 70°:
- 2θ = 11.58°, I 28, (0 0 1)
- 2θ = 26.50°, I 57, (1 1 0)
- 2θ = 30.00°, I 70, (1 0 2)
- 2θ = 35.56°, I 100, (1 1 2)
- 2θ = 37.83°, I 68, (2 0 0)
- 2θ = 49.01°, I 36, (2 1 2)
- 2θ = 51.57°, I 33, (1 0 4)
- 2θ = 54.57°, I 23, (2 2 0)
- 2θ = 65.70°, I 32, (2 1 4)
- 2θ = 66.85°, I 31, (3 1 2)

---

2.
TbMn6Sn6: simulated X-ray diffraction stick pattern (copper Kα), based on DFT lattice parameters and positions (GGA-PBE).
Peak positions follow from Bragg's law for the DFT cell and can differ from measured ones.

Structure:
```
TbMn6Sn6
1.0
5.4582 0.0000 0.0000
-2.7291 4.7269 0.0000
0.0000 0.0000 9.0027
Tb Mn Sn
1 6 6
direct
0.0000 0.0000 0.0000 Tb
0.0000 0.5000 0.2488 Mn
0.0000 0.5000 0.7512 Mn
0.5000 0.0000 0.2488 Mn
0.5000 0.0000 0.7512 Mn
0.5000 0.5000 0.2488 Mn
0.5000 0.5000 0.7512 Mn
0.0000 0.0000 0.3332 Sn
0.0000 0.0000 0.6668 Sn
0.3333 0.6667 0.0000 Sn
0.3333 0.6667 0.5000 Sn
0.6667 0.3333 0.0000 Sn
0.6667 0.3333 0.5000 Sn
```

Largest 10 diffraction maxima, sorted by position, 2θ from 5° to 70°:
- 2θ = 32.82°, I 100, (1 1 0)
- 2θ = 35.43°, I 44, (1 0 3)
- 2θ = 38.07°, I 27, (2 0 0)
- 2θ = 38.58°, I 87, (1 1 2)
- 2θ = 40.06°, I 24, (0 0 4)
- 2θ = 43.24°, I 46, (2 0 2)
- 2θ = 44.89°, I 23, (1 1 3)
- 2θ = 58.59°, I 20, (3 0 0)
- 2θ = 62.45°, I 21, (3 0 2)
- 2θ = 68.80°, I 29, (2 2 0)

---

3.
TiMnSn4: simulated X-ray diffraction stick pattern (copper Kα), based on DFT lattice parameters and positions (GGA-PBE).
Peak positions follow from Bragg's law for the DFT cell and can differ from measured ones.

Structure:
```
TiMnSn4
1.0
5.5281 0.0000 0.0000
-2.7640 4.7874 0.0000
0.0000 0.0000 14.0113
Ti Mn Sn
3 3 12
direct
0.0000 0.5000 0.1667 Ti
0.5000 0.0000 0.5000 Ti
0.5000 0.5000 0.8333 Ti
0.0000 0.0000 0.1667 Mn
0.0000 0.0000 0.5000 Mn
0.0000 0.0000 0.8333 Mn
0.0000 0.5000 0.5549 Sn
0.0000 0.5000 0.7784 Sn
0.1652 0.3304 0.0000 Sn
0.1652 0.8348 0.3333 Sn
0.3304 0.1652 0.6667 Sn
0.5000 0.0000 0.1117 Sn
0.5000 0.0000 0.8883 Sn
0.5000 0.5000 0.2216 Sn
0.5000 0.5000 0.4451 Sn
0.6696 0.8348 0.6667 Sn
0.8348 0.1652 0.3333 Sn
0.8348 0.6696 0.0000 Sn
```

Largest 10 diffraction maxima, sorted by position, 2θ from 5° to 70°:
- 2θ = 31.65°, I 70, (1 0 4)
- 2θ = 33.03°, I 100, (1 1 1)
- 2θ = 34.90°, I 65, (1 1 2)
- 2θ = 37.18°, I 78, (1 0 5)
- 2θ = 37.58°, I 28, (2 0 0)
- 2θ = 42.43°, I 95, (2 0 3)
- 2θ = 57.31°, I 28, (2 1 4)
- 2θ = 60.95°, I 38, (2 1 5)
- 2θ = 62.81°, I 27, (1 1 8)
- 2θ = 67.81°, I 34, (2 2 0)

---

4.
Ti2MnSn: simulated X-ray diffraction stick pattern (copper Kα), based on DFT lattice parameters and positions (GGA-PBE).
Peak positions follow from Bragg's law for the DFT cell and can differ from measured ones.

Structure:
```
Ti2MnSn
1.0
6.4076 0.0000 0.0000
0.0000 6.4076 0.0000
0.0000 0.0000 6.4076
Ti Mn Sn
8 4 4
direct
0.0000 0.0000 0.0000 Ti
0.0000 0.5000 0.5000 Ti
0.2500 0.2500 0.2500 Ti
0.2500 0.7500 0.7500 Ti
0.5000 0.0000 0.5000 Ti
0.5000 0.5000 0.0000 Ti
0.7500 0.2500 0.7500 Ti
0.7500 0.7500 0.2500 Ti
0.2500 0.2500 0.7500 Mn
0.2500 0.7500 0.2500 Mn
0.7500 0.2500 0.2500 Mn
0.7500 0.7500 0.7500 Mn
0.0000 0.0000 0.5000 Sn
0.0000 0.5000 0.0000 Sn
0.5000 0.0000 0.0000 Sn
0.5000 0.5000 0.5000 Sn
```

Largest 8 diffraction maxima, sorted by position, 2θ from 5° to 70°:
- 2θ = 24.06°, I 18, (1 1 1)
- 2θ = 27.85°, I 7, (2 0 0)
- 2θ = 39.79°, I 100, (2 2 0)
- 2θ = 47.04°, I 10, (3 1 1)
- 2θ = 49.26°, I 2, (2 2 2)
- 2θ = 57.53°, I 16, (4 0 0)
- 2θ = 63.26°, I 5, (3 3 1)
- 2θ = 65.10°, I 3, (4 2 0)

---

5.
Ti5MnSn3: simulated X-ray diffraction stick pattern (copper Kα), based on DFT lattice parameters and positions (GGA-PBE).
Peak positions follow from Bragg's law for the DFT cell and can differ from measured ones.

Structure:
```
Ti5MnSn3
1.0
8.2524 0.0000 0.0000
-4.1262 7.1468 0.0000
0.0000 0.0000 5.4864
Ti Mn Sn
10 2 6
direct
0.0000 0.2456 0.2500 Ti
0.0000 0.7544 0.7500 Ti
0.2456 0.0000 0.2500 Ti
0.2456 0.2456 0.7500 Ti
0.3333 0.6667 0.0000 Ti
0.3333 0.6667 0.5000 Ti
0.6667 0.3333 0.0000 Ti
0.6667 0.3333 0.5000 Ti
0.7544 0.0000 0.7500 Ti
0.7544 0.7544 0.2500 Ti
0.0000 0.0000 0.0000 Mn
0.0000 0.0000 0.5000 Mn
0.0000 0.3948 0.7500 Sn
0.0000 0.6052 0.2500 Sn
0.3948 0.0000 0.7500 Sn
0.3948 0.3948 0.2500 Sn
0.6052 0.0000 0.2500 Sn
0.6052 0.6052 0.7500 Sn
```

Largest 10 diffraction maxima, sorted by position, 2θ from 5° to 70°:
- 2θ = 24.92°, I 22, (2 0 0)
- 2θ = 27.04°, I 53, (1 1 1)
- 2θ = 32.64°, I 23, (0 0 2)
- 2θ = 37.10°, I 100, (2 1 1)
- 2θ = 37.76°, I 63, (3 0 0)
- 2θ = 39.45°, I 84, (1 1 2)
- 2θ = 47.06°, I 14, (2 2 1)
- 2θ = 48.85°, I 42, (3 1 1)
- 2θ = 61.20°, I 23, (2 1 3)
- 2θ = 70.00°, I 15, (3 1 3)

---

6.
TmMnSn2: simulated X-ray diffraction stick pattern (copper Kα), based on DFT lattice parameters and positions (GGA-PBE).
Peak positions follow from Bragg's law for the DFT cell and can differ from measured ones.

Structure:
```
TmMnSn2
1.0
10.3218 0.0000 0.0000
0.0000 11.3189 0.0000
0.0000 0.0000 8.9802
Tm Mn Sn
12 12 24
direct
0.1642 0.1802 0.0000 Tm
0.1693 0.4541 0.2429 Tm
0.1693 0.4541 0.7571 Tm
0.3307 0.9541 0.2429 Tm
0.3307 0.9541 0.7571 Tm
0.3358 0.6802 0.0000 Tm
0.6642 0.3198 0.0000 Tm
0.6693 0.0459 0.2429 Tm
0.6693 0.0459 0.7571 Tm
0.8307 0.5459 0.2429 Tm
0.8307 0.5459 0.7571 Tm
0.8358 0.8198 0.0000 Tm
0.0000 0.0000 0.2437 Mn
0.0000 0.0000 0.7563 Mn
0.0877 0.7571 0.2473 Mn
0.0877 0.7571 0.7527 Mn
0.4123 0.2571 0.2473 Mn
0.4123 0.2571 0.7527 Mn
0.5000 0.5000 0.2437 Mn
0.5000 0.5000 0.7563 Mn
0.5877 0.7429 0.2473 Mn
0.5877 0.7429 0.7527 Mn
0.9123 0.2429 0.2473 Mn
0.9123 0.2429 0.7527 Mn
0.0414 0.6236 0.0000 Sn
0.0448 0.6262 0.5000 Sn
0.1277 0.9076 0.5000 Sn
0.1314 0.9011 0.0000 Sn
0.1632 0.1822 0.3366 Sn
0.1632 0.1822 0.6634 Sn
0.3368 0.6822 0.3366 Sn
0.3368 0.6822 0.6634 Sn
0.3686 0.4011 0.0000 Sn
0.3723 0.4076 0.5000 Sn
0.4552 0.1262 0.5000 Sn
0.4586 0.1236 0.0000 Sn
0.5414 0.8764 0.0000 Sn
0.5448 0.8738 0.5000 Sn
0.6277 0.5924 0.5000 Sn
0.6314 0.5989 0.0000 Sn
0.6632 0.3178 0.3366 Sn
0.6632 0.3178 0.6634 Sn
0.8368 0.8178 0.3366 Sn
0.8368 0.8178 0.6634 Sn
0.8686 0.0989 0.0000 Sn
0.8723 0.0924 0.5000 Sn
0.9552 0.3738 0.5000 Sn
0.9586 0.3764 0.0000 Sn
```

Largest 10 diffraction maxima, sorted by position, 2θ from 5° to 70°:
- 2θ = 32.82°, I 62, (1 4 0)
- 2θ = 33.76°, I 99, (3 1 2)
- 2θ = 35.30°, I 67, (3 3 0)
- 2θ = 35.61°, I 100, (2 3 2)
- 2θ = 35.69°, I 36, (4 1 0)
- 2θ = 37.57°, I 45, (0 4 2)
- 2θ = 40.17°, I 35, (0 0 4)
- 2θ = 55.07°, I 16, (5 4 0)
- 2θ = 59.95°, I 22, (2 7 0)
- 2θ = 68.92°, I 18, (3 1 6)